Structure and calculated powder diffractogram of DySnAs2Rh5 (a DFT-relaxed cell (GGA-PBE, Alexandria); Cu Kα).
No peak broadening, texture or thermal motion is included.

Crystal structure
Lattice parameters (Å, degrees): 4.137 4.137 8.823 90.00 90.00 90.00
Space group P4/mmm (No. 123)
One atom of each set of equivalent atoms:
1 Dy 0.000 0.000 0.000 [1 per cell]
2 Sn 0.000 0.000 0.500 [1 per cell]
3 As 0.500 0.500 0.142 [2 per cell]
4 Rh 0.000 0.500 0.279 [4 per cell]
5 Rh 0.500 0.500 0.500 [1 per cell]

Principal peaks in the range 15 to 90 degrees two-theta, in order of rising 2θ:
2θ (°)  d/Å  Rel. int.  h k l
29.6  3.018  13.7  1 0 2
36.9  2.438  100.0  1 1 2
37.5  2.397  13.4  1 0 3
40.9  2.206  10.6  0 0 4
43.6  2.074  19.6  1 1 3
43.8  2.069  50.8  2 0 0
61.4  1.509  14.6  2 0 4
63.6  1.463  16.5  2 2 0
71.9  1.314  11.5  1 1 6
75.8  1.254  24.0  3 1 2